Record 1
For HfMnSi2, a cell relaxed with GGA-PBE gives the theoretical X-ray powder pattern in this record (Cu Ka).

Principal peaks in the range 5° ≤ 2θ ≤ 70°, sorted by position:
| d (Å) | 2theta | Rel. int. |
| --- | --- | --- |
| 7.844 | 11.28 | 41 |
| 3.060 | 29.19 | 46 |
| 2.896 | 30.88 | 48 |
| 2.528 | 35.52 | 24 |
| 2.358 | 38.16 | 53 |
| 2.311 | 38.97 | 100 |
| 2.203 | 40.96 | 57 |
| 2.188 | 41.26 | 86 |
| 2.074 | 43.63 | 25 |
| 1.961 | 46.30 | 33 |

abc: 8.975 9.777 7.844
angles: 90.00 90.00 90.00
Fractional coordinates of all 48 atoms:
Hf: 0.168 0.179 0.000
Hf: 0.174 0.451 0.245
Hf: 0.174 0.451 0.755
Hf: 0.326 0.951 0.245
Hf: 0.326 0.951 0.755
Hf: 0.332 0.679 0.000
Hf: 0.668 0.321 0.000
Hf: 0.674 0.049 0.245
Hf: 0.674 0.049 0.755
Hf: 0.826 0.549 0.245
Hf: 0.826 0.549 0.755
Hf: 0.832 0.821 0.000
Mn: 0.000 0.000 0.245
Mn: 0.000 0.000 0.755
Mn: 0.084 0.747 0.249
Mn: 0.084 0.747 0.751
Mn: 0.416 0.247 0.249
Mn: 0.416 0.247 0.751
Mn: 0.500 0.500 0.245
Mn: 0.500 0.500 0.755
Mn: 0.584 0.753 0.249
Mn: 0.584 0.753 0.751
Mn: 0.916 0.253 0.249
Mn: 0.916 0.253 0.751
Si: 0.038 0.620 0.000
Si: 0.039 0.624 0.500
Si: 0.111 0.898 0.500
Si: 0.124 0.894 0.000
Si: 0.166 0.181 0.350
Si: 0.166 0.181 0.650
Si: 0.334 0.681 0.350
Si: 0.334 0.681 0.650
Si: 0.376 0.394 0.000
Si: 0.389 0.398 0.500
Si: 0.461 0.124 0.500
Si: 0.462 0.120 0.000
Si: 0.538 0.880 0.000
Si: 0.539 0.876 0.500
Si: 0.611 0.602 0.500
Si: 0.624 0.606 0.000
Si: 0.666 0.319 0.350
Si: 0.666 0.319 0.650
Si: 0.834 0.819 0.350
Si: 0.834 0.819 0.650
Si: 0.876 0.106 0.000
Si: 0.889 0.102 0.500
Si: 0.961 0.376 0.500
Si: 0.962 0.380 0.000


Record 2
For HfMnSi, a cell relaxed with GGA-PBE gives the theoretical X-ray powder pattern in this record (Cu Ka).

Principal peaks in the range 5° ≤ 2θ ≤ 70°, sorted by position:
| d (Å) | 2theta | Rel. int. |
| --- | --- | --- |
| 3.307 | 26.96 | 55 |
| 3.249 | 27.45 | 31 |
| 2.466 | 36.43 | 24 |
| 2.444 | 36.77 | 100 |
| 2.434 | 36.93 | 20 |
| 2.354 | 38.23 | 53 |
| 2.318 | 38.86 | 95 |
| 2.082 | 43.46 | 31 |
| 1.838 | 49.61 | 26 |
| 1.449 | 64.31 | 23 |

abc: 6.498 3.675 7.577
angles: 90.00 90.00 90.00
Fractional coordinates of all 12 atoms:
Hf: 0.027 0.250 0.179
Hf: 0.473 0.750 0.679
Hf: 0.527 0.250 0.321
Hf: 0.973 0.750 0.821
Mn: 0.142 0.250 0.564
Mn: 0.358 0.750 0.064
Mn: 0.642 0.250 0.936
Mn: 0.858 0.750 0.436
Si: 0.226 0.750 0.376
Si: 0.274 0.250 0.876
Si: 0.726 0.750 0.124
Si: 0.774 0.250 0.624


Record 3
For Hf9NiMo4, a cell relaxed with GGA-PBE gives the theoretical X-ray powder pattern in this record (Cu Ka).

Principal peaks in the range 5° ≤ 2θ ≤ 70°, sorted by position:
| d (Å) | 2theta | Rel. int. |
| --- | --- | --- |
| 2.810 | 31.85 | 38 |
| 2.630 | 34.08 | 33 |
| 2.515 | 35.70 | 23 |
| 2.410 | 37.31 | 74 |
| 2.361 | 38.11 | 100 |
| 2.252 | 40.04 | 50 |
| 2.178 | 41.45 | 26 |
| 1.473 | 63.10 | 37 |
| 1.421 | 65.73 | 28 |
| 1.399 | 66.86 | 30 |

abc: 8.713 8.713 8.419
angles: 90.00 90.00 120.00
Fractional coordinates of all 28 atoms:
Hf: 0.083 0.542 0.250
Hf: 0.200 0.400 0.557
Hf: 0.200 0.400 0.943
Hf: 0.200 0.800 0.557
Hf: 0.200 0.800 0.943
Hf: 0.400 0.200 0.057
Hf: 0.400 0.200 0.443
Hf: 0.458 0.542 0.250
Hf: 0.458 0.917 0.250
Hf: 0.542 0.083 0.750
Hf: 0.542 0.458 0.750
Hf: 0.600 0.800 0.557
Hf: 0.600 0.800 0.943
Hf: 0.800 0.200 0.057
Hf: 0.800 0.200 0.443
Hf: 0.800 0.600 0.057
Hf: 0.800 0.600 0.443
Hf: 0.917 0.458 0.750
Ni: 0.333 0.667 0.750
Ni: 0.667 0.333 0.250
Mo: 0.000 0.000 0.000
Mo: 0.000 0.000 0.500
Mo: 0.112 0.223 0.250
Mo: 0.112 0.888 0.250
Mo: 0.223 0.112 0.750
Mo: 0.777 0.888 0.250
Mo: 0.888 0.112 0.750
Mo: 0.888 0.777 0.750


Record 4
For Hf9Mo4P, a cell relaxed with GGA-PBE gives the theoretical X-ray powder pattern in this record (Cu Ka).

Principal peaks in the range 5° ≤ 2θ ≤ 70°, sorted by position:
| d (Å) | 2theta | Rel. int. |
| --- | --- | --- |
| 2.827 | 31.65 | 67 |
| 2.686 | 33.36 | 35 |
| 2.494 | 36.01 | 22 |
| 2.396 | 37.54 | 59 |
| 2.365 | 38.04 | 100 |
| 2.281 | 39.51 | 39 |
| 2.159 | 41.84 | 44 |
| 1.474 | 63.06 | 35 |
| 1.419 | 65.79 | 30 |
| 1.414 | 66.08 | 28 |

abc: 8.640 8.640 8.631
angles: 90.00 90.00 120.00
Fractional coordinates of all 28 atoms:
Hf: 0.078 0.539 0.250
Hf: 0.198 0.396 0.547
Hf: 0.198 0.396 0.953
Hf: 0.198 0.802 0.547
Hf: 0.198 0.802 0.953
Hf: 0.396 0.198 0.047
Hf: 0.396 0.198 0.453
Hf: 0.461 0.539 0.250
Hf: 0.461 0.922 0.250
Hf: 0.539 0.078 0.750
Hf: 0.539 0.461 0.750
Hf: 0.604 0.802 0.547
Hf: 0.604 0.802 0.953
Hf: 0.802 0.198 0.047
Hf: 0.802 0.198 0.453
Hf: 0.802 0.604 0.047
Hf: 0.802 0.604 0.453
Hf: 0.922 0.461 0.750
Mo: 0.000 0.000 0.000
Mo: 0.000 0.000 0.500
Mo: 0.111 0.221 0.250
Mo: 0.111 0.889 0.250
Mo: 0.221 0.111 0.750
Mo: 0.779 0.889 0.250
Mo: 0.889 0.111 0.750
Mo: 0.889 0.779 0.750
P: 0.333 0.667 0.750
P: 0.667 0.333 0.250


Record 5
For HfSb4Mo, a cell relaxed with GGA-PBE gives the theoretical X-ray powder pattern in this record (Cu Ka).

Principal peaks in the range 5° ≤ 2θ ≤ 70°, sorted by position:
| d (Å) | 2theta | Rel. int. |
| --- | --- | --- |
| 2.891 | 30.93 | 100 |
| 2.770 | 32.32 | 47 |
| 2.517 | 35.67 | 41 |
| 2.447 | 36.73 | 39 |
| 2.334 | 38.57 | 26 |
| 2.330 | 38.65 | 42 |
| 2.292 | 39.30 | 34 |
| 2.256 | 39.96 | 36 |
| 2.150 | 42.03 | 48 |
| 1.841 | 49.52 | 31 |

abc: 5.515 5.515 8.456
angles: 117.91 117.91 38.99
Fractional coordinates of all 6 atoms:
Hf: 0.000 0.000 0.000
Sb: 0.005 0.005 0.358
Sb: 0.246 0.246 0.909
Sb: 0.439 0.439 0.691
Sb: 0.707 0.707 0.288
Mo: 0.696 0.696 0.620


Record 6
For HfMoSe, a cell relaxed with GGA-PBE gives the theoretical X-ray powder pattern in this record (Cu Ka).

Principal peaks in the range 5° ≤ 2θ ≤ 70°, sorted by position:
| d (Å) | 2theta | Rel. int. |
| --- | --- | --- |
| 3.670 | 24.25 | 62 |
| 2.247 | 40.13 | 100 |
| 1.916 | 47.44 | 31 |
| 1.589 | 58.04 | 17 |
| 1.458 | 63.83 | 13 |

abc: 4.494 4.494 4.494
angles: 60.00 60.00 60.00
Fractional coordinates of all 3 atoms:
Hf: 0.000 0.000 0.000
Mo: 0.750 0.750 0.750
Se: 0.250 0.250 0.250


Record 7
For Hf9SiMo4, a cell relaxed with GGA-PBE gives the theoretical X-ray powder pattern in this record (Cu Ka).

Principal peaks in the range 5° ≤ 2θ ≤ 70°, sorted by position:
| d (Å) | 2theta | Rel. int. |
| --- | --- | --- |
| 2.841 | 31.49 | 51 |
| 2.711 | 33.05 | 27 |
| 2.497 | 35.97 | 21 |
| 2.400 | 37.47 | 55 |
| 2.374 | 37.89 | 100 |
| 2.297 | 39.23 | 37 |
| 2.162 | 41.78 | 28 |
| 1.479 | 62.82 | 31 |
| 1.430 | 65.24 | 28 |
| 1.417 | 65.94 | 27 |

abc: 8.648 8.648 8.723
angles: 90.00 90.00 120.00
Fractional coordinates of all 28 atoms:
Hf: 0.074 0.537 0.250
Hf: 0.197 0.395 0.545
Hf: 0.197 0.395 0.955
Hf: 0.197 0.803 0.545
Hf: 0.197 0.803 0.955
Hf: 0.395 0.197 0.045
Hf: 0.395 0.197 0.455
Hf: 0.463 0.537 0.250
Hf: 0.463 0.926 0.250
Hf: 0.537 0.074 0.750
Hf: 0.537 0.463 0.750
Hf: 0.605 0.803 0.545
Hf: 0.605 0.803 0.955
Hf: 0.803 0.197 0.045
Hf: 0.803 0.197 0.455
Hf: 0.803 0.605 0.045
Hf: 0.803 0.605 0.455
Hf: 0.926 0.463 0.750
Si: 0.333 0.667 0.750
Si: 0.667 0.333 0.250
Mo: 0.000 0.000 0.000
Mo: 0.000 0.000 0.500
Mo: 0.110 0.220 0.250
Mo: 0.110 0.890 0.250
Mo: 0.220 0.110 0.750
Mo: 0.780 0.890 0.250
Mo: 0.890 0.110 0.750
Mo: 0.890 0.780 0.750


Record 8
For Hf3SiMo8, a cell relaxed with GGA-PBE gives the theoretical X-ray powder pattern in this record (Cu Ka).

Principal peaks in the range 5° ≤ 2θ ≤ 70°, sorted by position:
| d (Å) | 2theta | Rel. int. |
| --- | --- | --- |
| 4.071 | 21.83 | 14 |
| 2.672 | 33.54 | 39 |
| 2.428 | 37.03 | 75 |
| 2.314 | 38.92 | 13 |
| 2.266 | 39.78 | 100 |
| 2.234 | 40.38 | 74 |
| 2.139 | 42.25 | 15 |
| 1.491 | 62.27 | 30 |
| 1.451 | 64.18 | 24 |
| 1.376 | 68.16 | 29 |

abc: 5.344 5.344 8.556
angles: 90.00 90.00 120.00
Fractional coordinates of all 12 atoms:
Hf: 0.000 0.000 0.000
Hf: 0.000 0.000 0.381
Hf: 0.667 0.333 0.876
Si: 0.667 0.333 0.503
Mo: 0.162 0.325 0.684
Mo: 0.162 0.838 0.684
Mo: 0.333 0.667 0.437
Mo: 0.333 0.667 0.936
Mo: 0.504 0.008 0.192
Mo: 0.504 0.496 0.192
Mo: 0.675 0.838 0.684
Mo: 0.992 0.496 0.192